(1)
FeCo2Ni3: simulated PXRD pattern (Cu Ka), based on a PBE-relaxed structure.
Kinematic intensities with the Lorentz-polarization factor, no thermal factor.

The 8 most intense peaks (10° ≤ 2θ ≤ 90°), in order of rising 2θ:
- (2 0 -3), 2θ = 44.3°, I = 34
- (2 1 0), 2θ = 44.5°, I = 100
- (4 0 0), 2θ = 51.4°, I = 21
- (0 1 3), 2θ = 52.0°, I = 41
- (4 1 -3), 2θ = 75.9°, I = 12
- (4 1 3), 2θ = 76.3°, I = 12
- (0 0 6), 2θ = 76.5°, I = 6
- (0 2 0), 2θ = 76.7°, I = 6

Cell and atoms:
a b c (Å): 7.112 2.485 7.474
angles (deg): 90.00 90.35 90.00
Space group P2_1/m (No. 11)
Asymmetric unit:
Fe (0.125, 0.250, 0.249) x2
Co (0.127, 0.250, 0.918) x2
Co (0.378, 0.750, 0.416) x2
Ni (0.128, 0.250, 0.582) x2
Ni (0.374, 0.750, 0.084) x2
Ni (0.375, 0.750, 0.750) x2

=====

(2)
FeCo4Ni8: simulated PXRD pattern (Cu Ka), based on a PBE-relaxed structure.
Kinematic intensities with the Lorentz-polarization factor, no thermal factor.

The 7 most intense peaks (10° ≤ 2θ ≤ 90°), in order of rising 2θ:
- (3 1 1), 2θ = 44.5°, I = 100
- (4 0 -3), 2θ = 51.6°, I = 16
- (2 0 5), 2θ = 51.9°, I = 15
- (0 2 0), 2θ = 52.1°, I = 15
- (6 0 2), 2θ = 76.3°, I = 9
- (4 2 -3), 2θ = 76.4°, I = 9
- (2 2 5), 2θ = 76.6°, I = 9

Cell and atoms:
a b c (Å): 7.908 3.512 10.283
angles (deg): 90.00 94.64 90.00
Space group C2/m (No. 12)
Asymmetric unit:
Fe (0.000, 0.000, 0.000) x2
Co (0.114, 0.500, 0.155) x4
Co (0.155, 0.000, 0.537) x4
Ni (0.038, 0.500, 0.384) x4
Ni (0.080, 0.000, 0.770) x4
Ni (0.193, 0.500, 0.923) x4
Ni (0.229, 0.000, 0.309) x4

=====

(3)
Fe2Co6Ni3: simulated PXRD pattern (Cu Ka), based on a PBE-relaxed structure.
Kinematic intensities with the Lorentz-polarization factor, no thermal factor.

The 12 most intense peaks (10° ≤ 2θ ≤ 90°), in order of rising 2θ:
- (3 3 0), 2θ = 41.3°, I = 39
- (0 4 1), 2θ = 45.1°, I = 45
- (2 2 1), 2θ = 45.8°, I = 100
- (2 6 0), 2θ = 46.5°, I = 56
- (1 7 0), 2θ = 47.9°, I = 15
- (4 0 0), 2θ = 48.8°, I = 29
- (1 5 1), 2θ = 51.1°, I = 25
- (3 3 1), 2θ = 56.0°, I = 11
- (4 4 1), 2θ = 68.6°, I = 13
- (0 0 2), 2θ = 76.8°, I = 11
- (5 5 1), 2θ = 83.3°, I = 11
- (0 12 0), 2θ = 84.7°, I = 27

Cell and atoms:
a b c (Å): 7.469 13.734 2.483
angles (deg): 90.00 90.00 90.00
Space group Cmmm (No. 65)
Asymmetric unit:
Fe (0.228, 0.000, 0.000) x4
Co (0.000, 0.088, 0.500) x4
Co (0.206, 0.341, 0.500) x8
Ni (0.000, 0.237, 0.000) x4
Ni (0.000, 0.500, 0.500) x2

=====

(4)
FeCo5Ni: simulated PXRD pattern (Cu Ka), based on a PBE-relaxed structure.
Kinematic intensities with the Lorentz-polarization factor, no thermal factor.

The 12 most intense peaks (10° ≤ 2θ ≤ 90°), in order of rising 2θ:
- (1 1 -1), 2θ = 21.7°, I = 11
- (2 2 0), 2θ = 30.9°, I = 12
- (3 1 -1), 2θ = 36.6°, I = 12
- (1 3 1), 2θ = 39.4°, I = 22
- (1 1 2), 2θ = 45.5°, I = 50
- (3 1 -2), 2θ = 45.8°, I = 54
- (2 4 0), 2θ = 46.8°, I = 100
- (1 3 -2), 2θ = 48.2°, I = 52
- (4 0 0), 2θ = 48.3°, I = 46
- (1 5 -2), 2θ = 64.2°, I = 11
- (3 3 2), 2θ = 70.4°, I = 11
- (5 3 -2), 2θ = 70.9°, I = 13

Cell and atoms:
a b c (Å): 7.895 9.058 4.837
angles (deg): 90.00 107.43 90.00
Space group C2/c (No. 15)
Asymmetric unit:
Fe (0.000, 0.146, 0.250) x4
Co (0.000, 0.113, 0.750) x4
Co (0.029, 0.366, 0.525) x8
Co (0.243, 0.481, 0.350) x8
Ni (0.250, 0.250, 0.000) x4

=====

(5)
FeCo6Ni12: simulated PXRD pattern (Cu Ka), based on a PBE-relaxed structure.
Kinematic intensities with the Lorentz-polarization factor, no thermal factor.

The 12 most intense peaks (10° ≤ 2θ ≤ 90°), in order of rising 2θ:
- (2 1 1), 2θ = 28.7°, I = 21
- (0 0 3), 2θ = 37.2°, I = 19
- (1 3 1), 2θ = 37.7°, I = 88
- (1 1 3), 2θ = 41.1°, I = 39
- (3 2 1), 2θ = 45.1°, I = 100
- (0 3 3), 2θ = 48.1°, I = 68
- (2 3 2), 2θ = 50.4°, I = 78
- (3 3 0), 2θ = 52.1°, I = 20
- (0 2 4), 2θ = 54.4°, I = 31
- (5 0 2), 2θ = 56.5°, I = 40
- (5 0 5), 2θ = 85.5°, I = 18
- (0 8 1), 2θ = 86.5°, I = 18

Cell and atoms:
a b c (Å): 10.5243 10.5243 7.2559
angles (deg): 90.00 90.00 120.00
Space group R-3m (No. 166, hexagonal axes)
Asymmetric unit:
Fe (0.0000, 0.0000, 0.0000) x3
Co (0.0708, 0.5354, 0.2240) x18
Ni (0.0000, 0.3860, 0.5000) x18
Ni (0.0788, 0.1577, 0.2593) x18

=====

(6)
FeCo3Ni8: simulated PXRD pattern (Cu Ka), based on a PBE-relaxed structure.
Kinematic intensities with the Lorentz-polarization factor, no thermal factor.

The 9 most intense peaks (10° ≤ 2θ ≤ 90°), in order of rising 2θ:
- (1 1 0), 2θ = 41.9°, I = 7
- (2 -1 1), 2θ = 43.4°, I = 47
- (0 0 4), 2θ = 44.5°, I = 37
- (1 1 2), 2θ = 47.7°, I = 100
- (2 -1 3), 2θ = 54.3°, I = 23
- (2 -1 4), 2θ = 62.7°, I = 4
- (2 -1 5), 2θ = 72.7°, I = 9
- (3 0 0), 2θ = 76.4°, I = 20
- (1 1 6), 2θ = 84.3°, I = 17

Cell and atoms:
a b c (Å): 4.3164 4.3164 8.1465
angles (deg): 90.00 90.00 120.00
Space group P-31m (No. 162)
Asymmetric unit:
Fe (0.0000, 0.0000, 0.0000) x1
Co (0.0000, 0.0000, 0.5000) x1
Co (0.3333, 0.6667, 0.5000) x2
Ni (0.0000, 0.3358, 0.2510) x6
Ni (0.3333, 0.6667, 0.0000) x2

=====

(7)
Fe3Co6Ni: simulated PXRD pattern (Cu Ka), based on a PBE-relaxed structure.
Kinematic intensities with the Lorentz-polarization factor, no thermal factor.

The 12 most intense peaks (10° ≤ 2θ ≤ 90°), in order of rising 2θ:
- (1 1 0), 2θ = 12.1°, I = 100
- (3 0 0), 2θ = 21.1°, I = 36
- (2 2 0), 2θ = 24.4°, I = 22
- (4 1 0), 2θ = 32.4°, I = 14
- (3 3 0), 2θ = 36.9°, I = 15
- (1 3 1), 2θ = 44.6°, I = 68
- (5 2 0), 2θ = 44.7°, I = 13
- (4 0 1), 2θ = 46.4°, I = 44
- (4 4 0), 2θ = 49.9°, I = 66
- (0 5 1), 2θ = 51.5°, I = 16
- (7 0 1), 2θ = 63.6°, I = 14
- (0 8 1), 2θ = 70.5°, I = 10

Cell and atoms:
a b c (Å): 14.6071 14.6071 2.4920
angles (deg): 90.00 90.00 120.00
Space group R3m (No. 160, hexagonal axes)
Asymmetric unit:
Fe (0.0096, 0.5048, 0.0000) x9
Co (0.0817, 0.1633, 0.7847) x9
Co (0.1827, 0.0914, 0.2162) x9
Ni (0.0000, 0.0000, 0.3107) x3

=====

(8)
Fe4CoNi3: simulated PXRD pattern (Cu Ka), based on a PBE-relaxed structure.
Kinematic intensities with the Lorentz-polarization factor, no thermal factor.

The 12 most intense peaks (10° ≤ 2θ ≤ 90°), in order of rising 2θ:
- (1 0 1), 2θ = 38.1°, I = 15
- (1 1 2), 2θ = 43.3°, I = 63
- (0 4 0), 2θ = 44.2°, I = 56
- (1 2 1), 2θ = 44.3°, I = 28
- (0 2 4), 2θ = 44.8°, I = 100
- (1 2 3), 2θ = 52.7°, I = 24
- (1 3 2), 2θ = 54.1°, I = 31
- (1 5 2), 2θ = 72.3°, I = 12
- (1 1 6), 2θ = 73.2°, I = 10
- (2 0 0), 2θ = 78.4°, I = 9
- (1 3 6), 2θ = 81.5°, I = 7
- (0 6 4), 2θ = 81.7°, I = 14

Cell and atoms:
a b c (Å): 2.441 8.202 9.305
angles (deg): 90.00 90.00 90.00
Space group Immm (No. 71)
Asymmetric unit:
Fe (0.000, 0.244, 0.129) x8
Co (0.000, 0.500, 0.000) x2
Ni (0.000, 0.000, 0.266) x4
Ni (0.000, 0.500, 0.500) x2